1.
The following is a calculated powder X-ray diffraction pattern of SbPbSe2N. It was derived from a crystal structure in Alexandria, relaxed with PBE, using Cu Kα (weighted mean of Kα1 and Kα2).
Intensities are scaled so that the largest is 100.

Crystal structure
Cell lengths 5.5656, 5.5656, 4.2576 Å; angles 90.00, 90.00, 90.00 degrees
Space group P4/mmm (No. 123)
Asymmetric unit:
Sb (0.0000, 0.0000, 0.0000) x1
Pb (0.5000, 0.5000, 0.5000) x1
Se (0.0000, 0.5000, 0.5000) x2
N (0.5000, 0.5000, 0.0000) x1

The 12 most intense peaks (2θ from 10° to 90°), sorted by position:
| h k l | Position (°2θ) | I (rel.) |
| --- | --- | --- |
| 1 0 0 | 15.9 | 15 |
| 0 0 1 | 20.9 | 24 |
| 1 1 0 | 22.6 | 24 |
| 1 0 1 | 26.4 | 100 |
| 2 0 0 | 32.2 | 78 |
| 2 0 1 | 38.7 | 20 |
| 2 1 1 | 42.0 | 59 |
| 0 0 2 | 42.5 | 18 |
| 2 2 0 | 46.1 | 28 |
| 2 0 2 | 54.3 | 35 |
| 3 2 1 | 64.2 | 17 |
| 2 2 2 | 64.5 | 21 |


2.
The following is a calculated powder X-ray diffraction pattern of Sm8Pb4Se3N. It was derived from a crystal structure in Alexandria, relaxed with PBE, using Cu Kα (weighted mean of Kα1 and Kα2).
Intensities are scaled so that the largest is 100.

Crystal structure
Cell lengths 13.9540, 8.0610, 9.1724 Å; angles 90.00, 120.55, 90.00 degrees
Space group C2/m (No. 12)
Asymmetric unit:
Sm (0.0107, 0.2254, 0.3075) x8
Sm (0.2151, 0.0000, 0.6926) x4
Sm (0.2390, 0.5000, 0.7157) x4
Pb (0.0000, 0.0000, 0.0000) x2
Pb (0.0000, 0.5000, 0.0000) x2
Pb (0.2500, 0.2500, 0.0000) x4
Se (0.0000, 0.5000, 0.5000) x2
Se (0.2500, 0.2500, 0.5000) x4
N (0.0000, 0.0000, 0.5000) x2

The 12 most intense peaks (2θ from 10° to 90°), sorted by position:
| h k l | Position (°2θ) | I (rel.) |
| --- | --- | --- |
| 2 2 -1 | 25.8 | 15 |
| 4 0 0 | 29.7 | 100 |
| 4 0 -3 | 31.8 | 25 |
| 0 0 3 | 34.0 | 12 |
| 2 2 2 | 39.9 | 33 |
| 0 4 0 | 45.0 | 33 |
| 4 4 0 | 54.9 | 16 |
| 4 0 3 | 57.0 | 10 |
| 6 2 -5 | 57.6 | 15 |
| 8 0 0 | 61.7 | 9 |
| 6 2 2 | 66.3 | 9 |
| 10 2 -2 | 73.6 | 13 |


3.
The following is a calculated powder X-ray diffraction pattern of Si7PbN10. It was derived from a crystal structure in Alexandria, relaxed with PBE, using Cu Kα (weighted mean of Kα1 and Kα2).
Intensities are scaled so that the largest is 100.

Crystal structure
Cell lengths 6.9175, 6.7743, 9.7298 Å; angles 90.00, 105.80, 90.00 degrees
Space group Pc (No. 7)
Asymmetric unit:
Si (0.0000, 0.0249, 0.0000) x2
Si (0.1265, 0.3708, 0.6652) x2
Si (0.3123, 0.3746, 0.9816) x2
Si (0.5708, 0.3979, 0.7495) x2
Si (0.7585, 0.3811, 0.0579) x2
Si (0.8203, 0.0254, 0.6904) x2
Si (0.9462, 0.3709, 0.3620) x2
Pb (0.3938, 0.0571, 0.2702) x2
N (0.0305, 0.1353, 0.6484) x2
N (0.1619, 0.4229, 0.4980) x2
N (0.2135, 0.1551, 0.0149) x2
N (0.3467, 0.3818, 0.8048) x2
N (0.5399, 0.4214, 0.1118) x2
N (0.6232, 0.1662, 0.7004) x2
N (0.7479, 0.4989, 0.8986) x2
N (0.7892, 0.1318, 0.0423) x2
N (0.9122, 0.1166, 0.3455) x2
N (0.9554, 0.4654, 0.1987) x2

The 12 most intense peaks (2θ from 10° to 90°), sorted by position:
| h k l | Position (°2θ) | I (rel.) |
| --- | --- | --- |
| 0 1 0 | 13.1 | 40 |
| 1 1 0 | 18.7 | 44 |
| 0 0 2 | 19.0 | 44 |
| 1 0 -2 | 20.0 | 39 |
| 0 1 2 | 23.1 | 51 |
| 1 1 -2 | 24.0 | 54 |
| 1 0 2 | 26.1 | 35 |
| 0 2 0 | 26.3 | 39 |
| 1 1 2 | 29.3 | 46 |
| 1 2 -1 | 29.9 | 100 |
| 2 1 -2 | 31.3 | 48 |
| 1 0 -4 | 37.1 | 38 |


4.
The following is a calculated powder X-ray diffraction pattern of Si2Pb5N6. It was derived from a crystal structure in Alexandria, relaxed with PBE, using Cu Kα (weighted mean of Kα1 and Kα2).
Intensities are scaled so that the largest is 100.

Crystal structure
Cell lengths 10.3805, 7.4994, 12.9182 Å; angles 90.00, 107.09, 90.00 degrees
Space group C2/c (No. 15)
Asymmetric unit:
Si (0.1770, 0.1579, 0.4253) x8
Pb (0.0000, 0.4144, 0.2500) x4
Pb (0.1106, 0.0938, 0.6829) x8
Pb (0.1159, 0.3414, 0.0190) x8
N (0.0008, 0.1832, 0.3766) x8
N (0.2444, 0.0087, 0.3504) x8
N (0.2495, 0.1239, 0.5682) x8

The 12 most intense peaks (2θ from 10° to 90°), sorted by position:
| h k l | Position (°2θ) | I (rel.) |
| --- | --- | --- |
| 0 2 1 | 24.8 | 86 |
| 2 0 2 | 26.1 | 46 |
| 0 2 2 | 27.8 | 34 |
| 1 1 3 | 28.4 | 38 |
| 3 1 -2 | 29.2 | 69 |
| 2 2 -1 | 29.5 | 31 |
| 1 1 -4 | 30.1 | 76 |
| 3 1 -3 | 31.6 | 78 |
| 2 2 1 | 32.0 | 100 |
| 3 1 1 | 32.3 | 32 |
| 3 1 -4 | 35.5 | 29 |
| 2 2 5 | 52.0 | 25 |


5.
The following is a calculated powder X-ray diffraction pattern of Sn2Pb5N6. It was derived from a crystal structure in Alexandria, relaxed with PBE, using Cu Kα (weighted mean of Kα1 and Kα2).
Intensities are scaled so that the largest is 100.

Crystal structure
Cell lengths 10.5791, 7.1560, 14.5667 Å; angles 90.00, 97.93, 90.00 degrees
Space group C2/c (No. 15)
Asymmetric unit:
Sn (0.2398, 0.1324, 0.4137) x8
Pb (0.0000, 0.4750, 0.2500) x4
Pb (0.0767, 0.2894, 0.9607) x8
Pb (0.1201, 0.0040, 0.6861) x8
N (0.1010, 0.3267, 0.6571) x8
N (0.1100, 0.0558, 0.8502) x8
N (0.1888, 0.4134, 0.4436) x8

The 12 most intense peaks (2θ from 10° to 90°), sorted by position:
| h k l | Position (°2θ) | I (rel.) |
| --- | --- | --- |
| 1 1 -3 | 22.9 | 43 |
| 0 2 2 | 27.8 | 100 |
| 1 1 -4 | 28.0 | 65 |
| 3 1 -1 | 28.4 | 76 |
| 3 1 -2 | 29.6 | 77 |
| 3 1 1 | 29.9 | 39 |
| 2 0 4 | 32.0 | 98 |
| 1 1 -5 | 33.5 | 23 |
| 2 2 2 | 33.7 | 60 |
| 1 1 -6 | 39.3 | 33 |
| 4 0 -6 | 47.7 | 24 |
| 3 3 -4 | 51.1 | 28 |


6.
The following is a calculated powder X-ray diffraction pattern of SnPb4N4. It was derived from a crystal structure in Alexandria, relaxed with PBE, using Cu Kα (weighted mean of Kα1 and Kα2).
Intensities are scaled so that the largest is 100.

Crystal structure
Cell lengths 6.5324, 7.3142, 8.6217 Å; angles 81.57, 78.73, 67.99 degrees
Space group P-1 (No. 2)
Asymmetric unit:
Sn (0.0576, 0.1833, 0.2791) x2
Pb (0.1216, 0.6602, 0.3345) x2
Pb (0.2717, 0.9653, 0.8895) x2
Pb (0.2960, 0.4271, 0.9073) x2
Pb (0.4896, 0.7722, 0.4951) x2
N (0.0569, 0.4678, 0.1688) x2
N (0.1063, 0.9311, 0.1556) x2
N (0.2217, 0.1126, 0.4771) x2
N (0.2903, 0.7172, 0.7427) x2

The 12 most intense peaks (2θ from 10° to 90°), sorted by position:
| h k l | Position (°2θ) | I (rel.) |
| --- | --- | --- |
| 1 0 -2 | 27.7 | 71 |
| 0 2 -1 | 29.3 | 56 |
| 2 0 1 | 30.1 | 100 |
| 2 2 0 | 32.1 | 43 |
| 1 0 3 | 33.1 | 32 |
| -1 2 1 | 36.5 | 31 |
| 1 2 -3 | 44.6 | 20 |
| 3 0 -1 | 48.5 | 17 |
| 0 2 4 | 49.1 | 13 |
| 1 4 1 | 50.3 | 12 |
| 3 2 -2 | 53.2 | 12 |
| 0 0 5 | 54.4 | 12 |


7.
The following is a calculated powder X-ray diffraction pattern of SnPb2N2. It was derived from a crystal structure in Alexandria, relaxed with PBE, using Cu Kα (weighted mean of Kα1 and Kα2).
Intensities are scaled so that the largest is 100.

Crystal structure
Cell lengths 5.7645, 11.4333, 7.5010 Å; angles 90.00, 90.00, 90.00 degrees
Space group Cmme (No. 67)
Asymmetric unit:
Sn (0.0000, 0.2500, 0.1931) x4
Pb (0.0000, 0.0963, 0.6757) x8
N (0.0000, 0.1053, 0.3688) x8

The 12 most intense peaks (2θ from 10° to 90°), sorted by position:
| h k l | Position (°2θ) | I (rel.) |
| --- | --- | --- |
| 0 0 1 | 11.8 | 29 |
| 0 0 2 | 23.7 | 26 |
| 1 1 2 | 29.5 | 34 |
| 1 3 1 | 30.5 | 100 |
| 2 0 0 | 31.0 | 37 |
| 1 3 2 | 37.1 | 14 |
| 2 0 2 | 39.4 | 23 |
| 0 4 3 | 48.4 | 13 |
| 1 1 4 | 51.9 | 14 |
| 3 3 1 | 54.9 | 20 |
| 2 6 0 | 58.0 | 10 |
| 2 4 3 | 58.6 | 15 |


8.
The following is a calculated powder X-ray diffraction pattern of Sr12SnPb4N3. It was derived from a crystal structure in Alexandria, relaxed with PBE, using Cu Kα (weighted mean of Kα1 and Kα2).
Intensities are scaled so that the largest is 100.

Crystal structure
Cell lengths 11.0272, 11.0272, 11.0272 Å; angles 90.00, 90.00, 90.00 degrees
Space group Im-3m (No. 229)
Asymmetric unit:
Sr (0.0000, 0.0000, 0.2814) x12
Sr (0.0000, 0.2500, 0.5000) x12
Sn (0.0000, 0.0000, 0.0000) x2
Pb (0.2500, 0.2500, 0.2500) x8
N (0.0000, 0.0000, 0.5000) x6

The 12 most intense peaks (2θ from 10° to 90°), sorted by position:
| h k l | Position (°2θ) | I (rel.) |
| --- | --- | --- |
| 2 2 0 | 22.8 | 37 |
| 2 2 2 | 28.0 | 100 |
| 4 0 0 | 32.5 | 73 |
| 4 2 2 | 40.1 | 15 |
| 4 4 0 | 46.6 | 50 |
| 6 2 0 | 52.5 | 11 |
| 6 2 2 | 55.3 | 41 |
| 4 4 4 | 57.9 | 17 |
| 6 4 2 | 63.1 | 11 |
| 6 6 2 | 75.1 | 15 |
| 8 4 0 | 77.4 | 20 |
| 8 4 4 | 86.5 | 15 |


9.
The following is a calculated powder X-ray diffraction pattern of Tm4SnPbN. It was derived from a crystal structure in Alexandria, relaxed with PBE, using Cu Kα (weighted mean of Kα1 and Kα2).
Intensities are scaled so that the largest is 100.

Crystal structure
Cell lengths 6.5782, 15.7878, 6.5755 Å; angles 90.00, 90.00, 90.00 degrees
Space group Cmcm (No. 63)
Asymmetric unit:
Tm (0.0000, 0.0919, 0.2500) x4
Tm (0.0000, 0.4057, 0.2500) x4
Tm (0.2500, 0.2500, 0.0000) x8
Sn (0.0000, 0.1075, 0.7500) x4
Pb (0.0000, 0.3955, 0.7500) x4
N (0.0000, 0.2505, 0.2500) x4

The 12 most intense peaks (2θ from 10° to 90°), sorted by position:
| h k l | Position (°2θ) | I (rel.) |
| --- | --- | --- |
| 0 2 0 | 11.2 | 11 |
| 2 0 0 | 27.1 | 16 |
| 2 2 0 | 29.4 | 65 |
| 0 6 0 | 34.1 | 30 |
| 2 4 0 | 35.5 | 100 |
| 2 0 2 | 38.7 | 57 |
| 2 6 2 | 52.5 | 36 |
| 4 0 0 | 55.9 | 20 |
| 4 2 2 | 64.4 | 14 |
| 2 10 0 | 65.6 | 21 |
| 4 6 0 | 67.1 | 17 |
| 4 4 2 | 68.0 | 31 |


10.
The following is a calculated powder X-ray diffraction pattern of Sr7PbN6. It was derived from a crystal structure in Alexandria, relaxed with PBE, using Cu Kα (weighted mean of Kα1 and Kα2).
Intensities are scaled so that the largest is 100.

Crystal structure
Cell lengths 6.8331, 12.6623, 13.6377 Å; angles 90.00, 90.00, 90.00 degrees
Space group Ibam (No. 72)
Asymmetric unit:
Sr (0.0000, 0.0000, 0.2500) x4
Sr (0.1327, 0.2817, 0.1289) x16
Sr (0.2177, 0.0494, 0.0000) x8
Pb (0.0000, 0.5000, 0.2500) x4
N (0.1166, 0.1497, 0.5000) x8
N (0.2020, 0.3842, 0.3213) x16

The 12 most intense peaks (2θ from 10° to 90°), sorted by position:
| h k l | Position (°2θ) | I (rel.) |
| --- | --- | --- |
| 1 1 2 | 19.7 | 27 |
| 2 1 1 | 27.8 | 20 |
| 0 4 0 | 28.2 | 26 |
| 2 0 2 | 29.2 | 31 |
| 0 2 4 | 29.8 | 100 |
| 1 4 1 | 31.8 | 27 |
| 2 2 2 | 32.5 | 48 |
| 2 1 3 | 33.6 | 14 |
| 2 4 2 | 41.1 | 19 |
| 1 6 3 | 49.4 | 16 |
| 2 2 6 | 50.3 | 14 |
| 4 2 0 | 55.7 | 15 |


11.
The following is a calculated powder X-ray diffraction pattern of Sr2ZnPbN. It was derived from a crystal structure in Alexandria, relaxed with PBE, using Cu Kα (weighted mean of Kα1 and Kα2).
Intensities are scaled so that the largest is 100.

Crystal structure
Cell lengths 7.5592, 3.9133, 9.6097 Å; angles 90.00, 110.19, 90.00 degrees
Space group P2_1/m (No. 11)
Asymmetric unit:
Sr (0.1861, 0.2500, 0.4701) x2
Sr (0.1974, 0.2500, 0.8542) x2
Zn (0.4447, 0.7500, 0.7300) x2
Pb (0.2802, 0.7500, 0.1858) x2
N (0.1718, 0.7500, 0.6604) x2

The 12 most intense peaks (2θ from 10° to 90°), sorted by position:
| h k l | Position (°2θ) | I (rel.) |
| --- | --- | --- |
| 1 0 -2 | 19.3 | 46 |
| 0 1 1 | 24.8 | 46 |
| 2 0 0 | 25.1 | 68 |
| 0 0 3 | 29.7 | 56 |
| 1 1 -2 | 30.0 | 58 |
| 0 1 2 | 30.2 | 100 |
| 2 0 -3 | 31.7 | 46 |
| 2 1 -1 | 33.0 | 64 |
| 2 1 0 | 34.1 | 43 |
| 2 1 -2 | 34.8 | 56 |
| 2 1 1 | 38.0 | 47 |
| 0 2 0 | 46.4 | 57 |